Calculated X-ray powder pattern of Ca3MgCd7 for a wavelength of 1.5418 Å, from DFT lattice parameters and positions (PBE).
Lines closer than 0.1° are merged.

Cell and atoms:
a b c (Å): 3.9514 20.8653 14.5076
angles (deg): 90.00 90.00 90.00
Space group Cmcm (No. 63)
One atom of each set of equivalent atoms:
Ca 0.0000 0.0943 0.0620
Ca 0.0000 0.2758 0.7500
Mg 0.0000 0.0650 0.7500
Cd 0.0000 0.2878 0.5444
Cd 0.0000 0.3342 0.1467
Cd 0.0000 0.4342 0.7500
Cd 0.0000 0.4706 0.0966

Main lines, sorted by position (2θ = 10–90°):
2θ 22.9, I = 71.8, (1 1 0)
2θ 31.2, I = 55.2, (1 5 0)
2θ 31.8, I = 23.2, (1 5 1)
2θ 32.0, I = 100.0, (0 2 5)
2θ 33.6, I = 23.4, (1 5 2)
2θ 35.0, I = 27.7, (0 8 1)
2θ 35.8, I = 24.0, (0 6 4)
2θ 38.7, I = 46.5, (1 1 5)
2θ 39.2, I = 23.6, (0 8 3)
2θ 45.9, I = 29.3, (2 0 0)